Starting from a cell relaxed with GGA-PBE, the X-ray diffraction stick pattern of Li2PrP2 was simulated for Cu Kα, 1.54184 Å.
Peak positions follow from Bragg's law for the DFT cell and can differ from measured ones.

Top 10 peaks for 2θ = 10–90°, by intensity:
2theta	d (Å)	I/Imax	index
27.77	3.213	100.0	1 0 1
12.92	6.850	78.2	0 0 1
36.02	2.494	64.4	1 0 2
24.47	3.638	32.0	1 0 0
43.07	2.100	29.3	1 1 0
46.98	1.934	23.5	0 1 3
45.15	2.008	21.2	1 1 1
52.02	1.758	17.2	0 2 1
57.36	1.606	16.4	0 2 2
74.34	1.276	15.2	2 1 2

Structural model:
abc: 4.2006 4.2006 6.8500
angles: 90.00 90.00 120.00
Space group P-3m1 (No. 164)
Inequivalent atoms, fractional coordinates:
Li1 0.3333 0.6667 0.3756 [2 per cell]
Pr1 0.0000 0.0000 0.0000 [1 per cell]
P1 0.3333 0.6667 0.7546 [2 per cell]